Entry 1:
Starting from a crystal structure in Alexandria, relaxed with PBE+U, the powder diffractogram of LiVOF3 was calculated for Cu Kα (λ = 1.5418 Å).

```
data_LiVOF3
_cell_length_a 7.8592
_cell_length_b 11.9323
_cell_length_c 6.1855
_cell_angle_alpha 90.00
_cell_angle_beta 90.92
_cell_angle_gamma 90.00
_space_group_name_H-M_alt 'C 1 2 1'
_space_group_IT_number 5
loop_
_space_group_symop_operation_xyz
'x,y,z'
'-x,y,-z'
'x+1/2,y+1/2,z'
'-x+1/2,y+1/2,-z'
loop_
_atom_site_label
_atom_site_type_symbol
_atom_site_fract_x
_atom_site_fract_y
_atom_site_fract_z
Li1 Li 0.0000 0.0000 0.0000
Li2 Li 0.0000 0.4801 0.5000
Li3 Li 0.1570 0.2501 0.2331
V1 V 0.0000 0.4914 0.0000
V2 V 0.0000 0.8259 0.5000
V3 V 0.2475 0.6346 0.2577
O1 O 0.1909 0.7446 0.4732
O2 O 0.2265 0.5269 0.0403
F1 F 0.0064 0.3841 0.2302
F2 F 0.0071 0.6078 0.7579
F3 F 0.0082 0.8943 0.7595
F4 F 0.0118 0.1357 0.7541
F5 F 0.2432 0.7477 0.0395
F6 F 0.2466 0.5197 0.4736
```

Top 10 peaks for 10° ≤ 2θ ≤ 90°, low angle first:
| 2θ (°) | intensity |
| --- | --- |
| 13.5 | 33.9 |
| 14.8 | 25.9 |
| 19.6 | 100.0 |
| 19.9 | 80.7 |
| 25.1 | 26.7 |
| 27.2 | 58.2 |
| 37.9 | 22.1 |
| 42.1 | 83.8 |
| 46.2 | 38.7 |
| 59.9 | 26.2 |

Entry 2:
Starting from a crystal structure in Alexandria, relaxed with PBE+U, the powder diffractogram of Li6VO5F was calculated for Cu Kα (λ = 1.5418 Å).

```
data_Li6VO5F
_cell_length_a 5.5891
_cell_length_b 5.6140
_cell_length_c 10.2852
_cell_angle_alpha 88.68
_cell_angle_beta 88.27
_cell_angle_gamma 60.71
_space_group_name_H-M_alt 'P 1'
_space_group_IT_number 1
loop_
_space_group_symop_operation_xyz
'x,y,z'
loop_
_atom_site_label
_atom_site_type_symbol
_atom_site_fract_x
_atom_site_fract_y
_atom_site_fract_z
Li1 Li 0.0000 0.0000 0.0000
Li2 Li 0.0023 0.6661 0.8820
Li3 Li 0.0147 0.6491 0.4994
Li4 Li 0.2874 0.0059 0.4976
Li5 Li 0.3004 0.6217 0.2654
Li6 Li 0.3456 0.6404 0.6532
Li7 Li 0.3657 0.2750 0.9932
Li8 Li 0.6178 0.0039 0.7661
Li9 Li 0.6278 0.6425 0.9969
Li10 Li 0.6355 0.6683 0.3830
Li11 Li 0.6460 0.2768 0.4928
Li12 Li 0.6781 0.9533 0.1531
V1 V 0.0038 0.2880 0.2426
V2 V 0.9832 0.3041 0.7430
O1 O 0.0074 0.9930 0.1927
O2 O 0.2809 0.0194 0.6895
O3 O 0.2975 0.2926 0.1865
O4 O 0.3450 0.6431 0.4571
O5 O 0.6899 0.9491 0.9566
O6 O 0.6944 0.2970 0.6896
O7 O 0.7018 0.5840 0.1945
O8 O 0.9781 0.3215 0.4129
O9 O 0.9884 0.6045 0.6944
O10 O 0.9924 0.3215 0.9134
F1 F 0.3095 0.6375 0.9515
F2 F 0.6594 0.9489 0.4522
```

Top 10 peaks for 10° ≤ 2θ ≤ 90°, low angle first:
| 2θ (°) | intensity |
| --- | --- |
| 17.3 | 35.8 |
| 18.2 | 100.0 |
| 18.4 | 52.8 |
| 24.9 | 91.8 |
| 25.2 | 42.3 |
| 25.7 | 32.9 |
| 31.9 | 31.7 |
| 32.0 | 30.3 |
| 32.9 | 28.7 |
| 34.9 | 60.9 |

Entry 3:
Starting from a crystal structure in Alexandria, relaxed with PBE+U, the powder diffractogram of Li2VOF5 was calculated for Cu Kα (λ = 1.5418 Å).

```
data_Li2VOF5
_cell_length_a 4.9218
_cell_length_b 5.4096
_cell_length_c 9.2914
_cell_angle_alpha 90.00
_cell_angle_beta 119.01
_cell_angle_gamma 90.00
_space_group_name_H-M_alt 'P 1 c 1'
_space_group_IT_number 7
loop_
_space_group_symop_operation_xyz
'x,y,z'
'x,-y,z+1/2'
loop_
_atom_site_label
_atom_site_type_symbol
_atom_site_fract_x
_atom_site_fract_y
_atom_site_fract_z
Li1 Li 0.0000 0.1764 0.0000
Li2 Li 0.8709 0.2384 0.2805
V1 V 0.2995 0.2865 0.7254
O1 O 0.5654 0.4972 0.7677
F1 F 0.0052 0.0027 0.1787
F2 F 0.2139 0.1990 0.5128
F3 F 0.2704 0.3038 0.9171
F4 F 0.6088 0.0354 0.8180
F5 F 0.9657 0.4912 0.1287
```

Top 10 peaks for 10° ≤ 2θ ≤ 90°, low angle first:
| 2θ (°) | intensity |
| --- | --- |
| 19.7 | 100.0 |
| 20.6 | 49.3 |
| 21.6 | 45.2 |
| 21.9 | 46.7 |
| 24.5 | 80.3 |
| 32.4 | 28.2 |
| 38.8 | 32.4 |
| 39.3 | 39.1 |
| 50.2 | 23.5 |
| 54.5 | 34.2 |

Entry 4:
Starting from a crystal structure in Alexandria, relaxed with PBE+U, the powder diffractogram of Li2VO2F2 was calculated for Cu Kα (λ = 1.5418 Å).

```
data_Li2VO2F2
_cell_length_a 6.2831
_cell_length_b 3.8739
_cell_length_c 6.6356
_cell_angle_alpha 90.00
_cell_angle_beta 113.62
_cell_angle_gamma 90.00
_space_group_name_H-M_alt 'P 1 21/m 1'
_space_group_IT_number 11
loop_
_space_group_symop_operation_xyz
'x,y,z'
'-x,-y,-z'
'-x,y+1/2,-z'
'x,-y+1/2,z'
loop_
_atom_site_label
_atom_site_type_symbol
_atom_site_fract_x
_atom_site_fract_y
_atom_site_fract_z
Li1 Li 0.0952 0.2500 0.3926
Li2 Li 0.2777 0.7500 0.2230
V1 V 0.2946 0.2500 0.8777
O1 O 0.0073 0.2500 0.6861
O2 O 0.3543 0.7500 0.9378
F1 F 0.2187 0.2500 0.1451
F2 F 0.3925 0.2500 0.6268
```

Top 10 peaks for 10° ≤ 2θ ≤ 90°, low angle first:
| 2θ (°) | intensity |
| --- | --- |
| 14.6 | 93.8 |
| 16.4 | 79.8 |
| 27.1 | 25.5 |
| 27.3 | 48.2 |
| 27.8 | 100.0 |
| 39.7 | 42.7 |
| 43.1 | 47.0 |
| 46.9 | 41.5 |
| 47.4 | 29.4 |
| 61.0 | 29.7 |

Entry 5:
Starting from a crystal structure in Alexandria, relaxed with PBE+U, the powder diffractogram of Li5VO3F2 was calculated for Cu Kα (λ = 1.5418 Å).

```
data_Li5VO3F2
_cell_length_a 10.0132
_cell_length_b 3.9239
_cell_length_c 6.0715
_cell_angle_alpha 90.00
_cell_angle_beta 113.22
_cell_angle_gamma 90.00
_space_group_name_H-M_alt 'C 1 m 1'
_space_group_IT_number 8
loop_
_space_group_symop_operation_xyz
'x,y,z'
'x,-y,z'
'x+1/2,y+1/2,z'
'x+1/2,-y+1/2,z'
loop_
_atom_site_label
_atom_site_type_symbol
_atom_site_fract_x
_atom_site_fract_y
_atom_site_fract_z
Li1 Li 0.0000 0.0000 0.0000
Li2 Li 0.0102 0.0000 0.4968
Li3 Li 0.2268 0.5000 0.8047
Li4 Li 0.3750 0.0000 0.2185
Li5 Li 0.4081 0.0000 0.6598
V1 V 0.1923 0.5000 0.3524
O1 O 0.0559 0.5000 0.5226
O2 O 0.1921 0.0000 0.2787
O3 O 0.3634 0.5000 0.6545
F1 F 0.3417 0.5000 0.1418
F2 F 0.4978 0.0000 0.0179
```

Top 10 peaks for 10° ≤ 2θ ≤ 90°, low angle first:
| 2θ (°) | intensity |
| --- | --- |
| 15.9 | 100.0 |
| 19.6 | 58.3 |
| 24.7 | 86.9 |
| 29.6 | 33.9 |
| 39.8 | 46.2 |
| 41.1 | 22.6 |
| 44.1 | 37.6 |
| 46.3 | 38.3 |
| 62.6 | 18.8 |
| 65.8 | 18.1 |

Entry 6:
Starting from a crystal structure in Alexandria, relaxed with PBE+U, the powder diffractogram of Li7VO5F was calculated for Cu Kα (λ = 1.5418 Å).

```
data_Li7VO5F
_cell_length_a 5.4199
_cell_length_b 5.4559
_cell_length_c 5.8220
_cell_angle_alpha 106.42
_cell_angle_beta 105.00
_cell_angle_gamma 114.81
_space_group_name_H-M_alt 'P 1'
_space_group_IT_number 1
loop_
_space_group_symop_operation_xyz
'x,y,z'
loop_
_atom_site_label
_atom_site_type_symbol
_atom_site_fract_x
_atom_site_fract_y
_atom_site_fract_z
Li1 Li 0.0000 0.0000 0.0000
Li2 Li 0.0102 0.0132 0.4975
Li3 Li 0.4480 0.9586 0.3281
Li4 Li 0.5332 0.5223 0.4986
Li5 Li 0.5527 0.5059 0.0027
Li6 Li 0.9096 0.4062 0.3565
Li7 Li 0.9495 0.4305 0.8070
V1 V 0.4090 0.8969 0.8599
O1 O 0.2685 0.4639 0.6844
O2 O 0.4318 0.2195 0.1515
O3 O 0.6008 0.0581 0.6911
O4 O 0.7145 0.9350 0.1616
O5 O 0.9764 0.7440 0.6804
F1 F 0.0538 0.6262 0.1661
```

Top 10 peaks for 10° ≤ 2θ ≤ 90°, low angle first:
| 2θ (°) | intensity |
| --- | --- |
| 17.6 | 76.5 |
| 19.4 | 96.0 |
| 20.0 | 100.0 |
| 20.0 | 64.4 |
| 20.2 | 67.1 |
| 35.5 | 56.2 |
| 40.7 | 42.1 |
| 42.7 | 44.2 |
| 43.1 | 52.0 |
| 64.0 | 38.7 |

Repeat the third record exactly.
Starting from a crystal structure in Alexandria, relaxed with PBE+U, the powder diffractogram of Li2VOF5 was calculated for Cu Kα (λ = 1.5418 Å).

```
data_Li2VOF5
_cell_length_a 4.9218
_cell_length_b 5.4096
_cell_length_c 9.2914
_cell_angle_alpha 90.00
_cell_angle_beta 119.01
_cell_angle_gamma 90.00
_space_group_name_H-M_alt 'P 1 c 1'
_space_group_IT_number 7
loop_
_space_group_symop_operation_xyz
'x,y,z'
'x,-y,z+1/2'
loop_
_atom_site_label
_atom_site_type_symbol
_atom_site_fract_x
_atom_site_fract_y
_atom_site_fract_z
Li1 Li 0.0000 0.1764 0.0000
Li2 Li 0.8709 0.2384 0.2805
V1 V 0.2995 0.2865 0.7254
O1 O 0.5654 0.4972 0.7677
F1 F 0.0052 0.0027 0.1787
F2 F 0.2139 0.1990 0.5128
F3 F 0.2704 0.3038 0.9171
F4 F 0.6088 0.0354 0.8180
F5 F 0.9657 0.4912 0.1287
```

Top 10 peaks for 10° ≤ 2θ ≤ 90°, low angle first:
| 2θ (°) | intensity |
| --- | --- |
| 19.7 | 100.0 |
| 20.6 | 49.3 |
| 21.6 | 45.2 |
| 21.9 | 46.7 |
| 24.5 | 80.3 |
| 32.4 | 28.2 |
| 38.8 | 32.4 |
| 39.3 | 39.1 |
| 50.2 | 23.5 |
| 54.5 | 34.2 |